# Zn4Os3
Computed powder diffractogram, λ = 1.5418 Å (Cu Kα). Input: DFT lattice parameters and positions (PBE).
Neutral-atom scattering factors, no anomalous dispersion.

The 6 most intense peaks (2θ = 10–80°), sorted by position:
h k l  two_theta  intensity
0 0 1  18.8  65.4
1 1 1  39.8  38.9
2 0 0  40.3  68.0
1 0 2  43.4  44.3
2 0 1  44.9  100.0
2 0 3  73.7  23.7

Crystal structure
abc: 5.1665 5.1665 4.7088
angles: 90.00 90.00 120.00
Space group P6/mmm (No. 191)
Inequivalent atoms, fractional coordinates:
1 Zn 0.0000 0.0000 0.2476 x2
2 Zn 0.3333 0.6667 0.0000 x2
3 Os 0.0000 0.5000 0.5000 x3